1.
Structure and theoretical powder X-ray diffraction pattern of PuMg3N3 (DFT lattice parameters and positions (GGA-PBE); Cu Kα).
Neutral-atom scattering factors, no anomalous dispersion.

Peak list (10 most intense, 15° ≤ 2θ ≤ 90°, low angle first)
| 2θ/deg | intensity | h k l |
| --- | --- | --- |
| 15.18 | 48 | 0 0 3 |
| 17.20 | 37 | 1 0 1 |
| 19.33 | 54 | 0 1 2 |
| 28.67 | 34 | 1 1 0 |
| 30.43 | 31 | 0 1 5 |
| 32.59 | 100 | 2 -1 3 |
| 42.45 | 48 | 1 1 6 |
| 44.71 | 21 | 0 1 8 |
| 50.78 | 24 | 3 0 0 |
| 71.42 | 17 | 0 3 9 |

Crystal structure
```
data_PuMg3N3
_cell_length_a 6.2278
_cell_length_b 6.2278
_cell_length_c 17.5118
_cell_angle_alpha 90.00
_cell_angle_beta 90.00
_cell_angle_gamma 120.00
_space_group_name_H-M_alt 'R -3'
_space_group_IT_number 148
_space_group_name_Hall '-R 3'
loop_
_atom_site_label
_atom_site_type_symbol
_atom_site_fract_x
_atom_site_fract_y
_atom_site_fract_z
Pu1 Pu 0.0000 0.0000 0.1767
Mg1 Mg 0.0228 0.3038 0.6165
N1 N 0.0160 0.3744 0.4104
```


2.
Structure and theoretical powder X-ray diffraction pattern of ThZn11Ni (DFT lattice parameters and positions (GGA-PBE); Cu Kα).
Neutral-atom scattering factors, no anomalous dispersion.

Peak list (10 most intense, 15° ≤ 2θ ≤ 90°, low angle first)
| 2θ/deg | intensity | h k l |
| --- | --- | --- |
| 19.89 | 10 | 1 1 -1 |
| 28.25 | 23 | 1 3 0 |
| 28.34 | 11 | 1 1 -2 |
| 34.81 | 48 | 2 0 -1 |
| 40.38 | 100 | 0 4 2 |
| 40.47 | 58 | 2 2 -2 |
| 45.36 | 12 | 2 4 -1 |
| 45.50 | 10 | 2 0 -3 |
| 66.13 | 12 | 3 5 -2 |
| 73.48 | 19 | 4 0 -2 |

Crystal structure
```
data_ThZn11Ni
_cell_length_a 5.1559
_cell_length_b 12.6594
_cell_length_c 6.7991
_cell_angle_alpha 90.00
_cell_angle_beta 112.19
_cell_angle_gamma 90.00
_space_group_name_H-M_alt 'C 1 2/m 1'
_space_group_IT_number 12
_space_group_name_Hall '-C 2y'
loop_
_atom_site_label
_atom_site_type_symbol
_atom_site_fract_x
_atom_site_fract_y
_atom_site_fract_z
Th1 Th 0.0000 0.0000 0.0000
Zn1 Zn 0.0000 0.0000 0.5000
Zn2 Zn 0.1072 0.3907 0.2257
Zn3 Zn 0.1987 0.1741 0.3607
Zn4 Zn 0.2500 0.2500 0.0000
Ni1 Ni 0.0000 0.5000 0.5000
```


3.
Structure and theoretical powder X-ray diffraction pattern of NdMg8Pt4 (DFT lattice parameters and positions (GGA-PBE); Cu Kα).
Neutral-atom scattering factors, no anomalous dispersion.

Peak list (10 most intense, 15° ≤ 2θ ≤ 90°, low angle first)
| 2θ/deg | intensity | h k l |
| --- | --- | --- |
| 18.92 | 100 | 2 0 0 |
| 26.89 | 73 | 2 2 0 |
| 37.16 | 96 | 2 0 2 |
| 38.39 | 52 | 4 0 0 |
| 42.02 | 45 | 2 2 2 |
| 43.14 | 34 | 4 2 0 |
| 54.49 | 53 | 4 2 2 |
| 62.65 | 18 | 6 2 0 |
| 68.62 | 20 | 6 0 2 |
| 81.47 | 21 | 6 4 2 |

Crystal structure
```
data_NdMg8Pt4
_cell_length_a 9.3787
_cell_length_b 9.3787
_cell_length_c 5.6499
_cell_angle_alpha 90.00
_cell_angle_beta 90.00
_cell_angle_gamma 90.00
_space_group_name_H-M_alt 'I 4/m m m'
_space_group_IT_number 139
_space_group_name_Hall '-I 4 2'
loop_
_atom_site_label
_atom_site_type_symbol
_atom_site_fract_x
_atom_site_fract_y
_atom_site_fract_z
Nd1 Nd 0.0000 0.0000 0.0000
Mg1 Mg 0.0000 0.2206 0.5000
Mg2 Mg 0.0000 0.3363 0.0000
Pt1 Pt 0.2500 0.2500 0.2500
```


4.
Structure and theoretical powder X-ray diffraction pattern of HfMn2W (DFT lattice parameters and positions (GGA-PBE); Cu Kα).
Neutral-atom scattering factors, no anomalous dispersion.

Peak list (10 most intense, 15° ≤ 2θ ≤ 90°, low angle first)
| 2θ/deg | intensity | h k l |
| --- | --- | --- |
| 28.82 | 18 | 0 0 2 |
| 29.21 | 35 | 1 0 0 |
| 41.50 | 100 | 1 0 2 |
| 41.79 | 50 | 1 1 0 |
| 51.55 | 16 | 1 1 2 |
| 59.69 | 8 | 0 0 4 |
| 60.58 | 16 | 2 0 0 |
| 67.82 | 8 | 1 0 4 |
| 75.50 | 16 | 1 1 4 |
| 76.10 | 33 | 2 1 2 |

Crystal structure
```
data_HfMn2W
_cell_length_a 3.0570
_cell_length_b 3.0570
_cell_length_c 6.1965
_cell_angle_alpha 90.00
_cell_angle_beta 90.00
_cell_angle_gamma 90.00
_space_group_name_H-M_alt 'P 4/m m m'
_space_group_IT_number 123
_space_group_name_Hall '-P 4 2'
loop_
_atom_site_label
_atom_site_type_symbol
_atom_site_fract_x
_atom_site_fract_y
_atom_site_fract_z
Hf1 Hf 0.0000 0.0000 0.0000
Mn1 Mn 0.5000 0.5000 0.2666
W1 W 0.0000 0.0000 0.5000
```


5.
Structure and theoretical powder X-ray diffraction pattern of Ca2BeGa4Pt3 (DFT lattice parameters and positions (GGA-PBE); Cu Kα).
Neutral-atom scattering factors, no anomalous dispersion.

Peak list (10 most intense, 15° ≤ 2θ ≤ 90°, low angle first)
| 2θ/deg | intensity | h k l |
| --- | --- | --- |
| 23.08 | 100 | 1 0 1 |
| 27.05 | 45 | 1 0 2 |
| 32.67 | 53 | 1 0 3 |
| 34.88 | 69 | 1 1 2 |
| 44.03 | 63 | 2 0 0 |
| 45.33 | 75 | 1 1 4 |
| 46.74 | 41 | 1 0 5 |
| 50.29 | 26 | 2 1 1 |
| 66.15 | 29 | 2 1 5 |
| 81.89 | 27 | 3 1 4 |

Crystal structure
```
data_Ca2BeGa4Pt3
_cell_length_a 4.1133
_cell_length_b 4.1133
_cell_length_c 11.0256
_cell_angle_alpha 90.00
_cell_angle_beta 90.00
_cell_angle_gamma 90.00
_space_group_name_H-M_alt 'P -4 m 2'
_space_group_IT_number 115
_space_group_name_Hall 'P -4 -2'
loop_
_atom_site_label
_atom_site_type_symbol
_atom_site_fract_x
_atom_site_fract_y
_atom_site_fract_z
Ca1 Ca 0.0000 0.5000 0.2444
Be1 Be 0.5000 0.5000 0.0000
Ga1 Ga 0.0000 0.0000 0.5000
Ga2 Ga 0.0000 0.5000 0.8700
Ga3 Ga 0.5000 0.5000 0.5000
Pt1 Pt 0.0000 0.0000 0.0000
Pt2 Pt 0.0000 0.5000 0.6398
```


6.
Structure and theoretical powder X-ray diffraction pattern of Nd4SmY7 (DFT lattice parameters and positions (GGA-PBE); Cu Kα).
Neutral-atom scattering factors, no anomalous dispersion.

Peak list (10 most intense, 15° ≤ 2θ ≤ 90°, low angle first)
| 2θ/deg | intensity | h k l |
| --- | --- | --- |
| 30.05 | 38 | 0 0 3 |
| 30.70 | 39 | 2 0 2 |
| 31.23 | 100 | 1 -2 0 |
| 31.65 | 51 | 2 0 -1 |
| 31.85 | 35 | 1 2 2 |
| 32.17 | 16 | 0 1 3 |
| 42.69 | 12 | 1 -2 3 |
| 45.04 | 13 | -1 2 3 |
| 46.01 | 13 | 3 2 1 |
| 56.16 | 16 | 3 2 -2 |

Crystal structure
```
data_Nd4SmY7
_cell_length_a 6.6204
_cell_length_b 6.9112
_cell_length_c 9.1665
_cell_angle_alpha 85.22
_cell_angle_beta 77.12
_cell_angle_gamma 81.81
_space_group_name_H-M_alt 'P -1'
_space_group_IT_number 2
_space_group_name_Hall '-P 1'
loop_
_atom_site_label
_atom_site_type_symbol
_atom_site_fract_x
_atom_site_fract_y
_atom_site_fract_z
Nd1 Nd 0.1406 0.3149 0.2842
Nd2 Nd 0.3363 0.8835 0.6928
Sm1 Sm 0.5000 0.5000 0.0000
Y1 Y 0.0104 0.2509 0.9522
Y2 Y 0.1761 0.8084 0.3605
Y3 Y 0.3154 0.3922 0.6191
Y4 Y 0.5000 0.0000 0.0000
```